[1]
Structure and theoretical powder XRD pattern of ScTeO3F (the GGA-PBE geometry in the Materials Project; a wavelength of 1.5418 Å).
Lines closer than 0.1° are merged.

Main lines, low angle first (2θ = 10–90°):
(1 0 1), 21.96°, I 29.6; (1 1 1), 22.32°, I 27.8; (0 6 0), 23.92°, I 18.6; (1 4 1), 27.22°, I 100.0; (1 6 1), 32.69°, I 25.1; (1 10 1), 46.47°, I 17.4

Structural model:
Lattice parameters (Å, degrees): 5.8501 22.3198 5.6066 90.00 90.00 90.00
Space group Pnna (No. 52)
Asymmetric unit:
Sc 0.0683 0.2500 0.2500
Sc 0.2500 0.0000 0.1742
Te 0.2086 0.6072 0.8104
O 0.0433 0.1611 0.3564
O 0.0568 0.5503 0.5975
O 0.1313 0.5607 0.0805
F 0.1895 0.7306 0.5023

=====

[2]
Structure and theoretical powder XRD pattern of Ho2Se3O9 (the GGA-PBE geometry in the Materials Project; a wavelength of 1.5418 Å).
Lines closer than 0.1° are merged.

Main lines, low angle first (2θ = 10–90°):
(0 1 1), 14.44°, I 24.4; (0 2 0), 24.57°, I 100.0; (2 1 1), 25.20°, I 85.7; (1 0 -2), 28.45°, I 32.6; (1 0 3), 31.88°, I 26.4; (1 2 3), 32.58°, I 29.6

Structural model:
Lattice parameters (Å, degrees): 7.0810 8.1121 9.0621 71.57 70.15 65.94
Space group P-1 (No. 2)
Asymmetric unit:
Ho 0.1663 0.2715 0.4103
Ho 0.2417 0.7351 0.7981
Se 0.0722 0.2245 0.8025
Se 0.3542 0.2472 0.0348
Se 0.3874 0.7572 0.4137
O 0.0168 0.5931 0.3512
O 0.0927 0.2867 0.1498
O 0.1413 0.0562 0.6938
O 0.1518 0.7919 0.0519
O 0.1562 0.7462 0.5635
O 0.3335 0.4323 0.8795
O 0.3426 0.9860 0.3445
O 0.4337 0.3047 0.1685
O 0.4652 0.2963 0.4459